# 1
For NbCrO4, a structure optimized by DFT (PBE+U) gives the theoretical X-ray powder pattern in this record (copper Kα).

Most intense lines, 15° ≤ 2θ ≤ 90°, sorted by position:
2θ/deg  I_rel
18.90  25
26.59  79
27.12  74
34.68  100
38.35  23
39.60  21
52.35  49
52.96  47
54.76  13
66.99  31

Atomic structure:
Unit cell a=6.575 b=6.705 c=3.099 alpha=90.00 beta=90.00 gamma=90.00
Element x y z (fractional)
Nb 0.000 0.000 0.000
Nb 0.500 0.500 0.000
Cr 0.000 0.500 0.500
Cr 0.500 0.000 0.500
O 0.000 0.195 0.500
O 0.000 0.805 0.500
O 0.197 0.500 0.000
O 0.303 0.000 0.000
O 0.500 0.305 0.500
O 0.500 0.695 0.500
O 0.697 0.000 0.000
O 0.803 0.500 0.000


# 2
For NbCrO4, a structure optimized by DFT (PBE+U) gives the theoretical X-ray powder pattern in this record (copper Kα).

Most intense lines, 15° ≤ 2θ ≤ 90°, sorted by position:
2θ/deg  I_rel
24.28  100
35.85  14
37.07  36
45.84  25
52.53  38
60.35  15
66.82  15
72.23  17
78.97  12
89.89  10

Atomic structure:
Unit cell a=3.959 b=3.959 c=9.703 alpha=90.00 beta=90.00 gamma=90.00
Element x y z (fractional)
Nb 0.000 0.000 0.000
Nb 0.500 0.500 0.500
Cr 0.000 0.500 0.250
Cr 0.500 0.000 0.750
O 0.000 0.000 0.207
O 0.000 0.000 0.793
O 0.000 0.500 0.040
O 0.000 0.500 0.460
O 0.500 0.000 0.540
O 0.500 0.000 0.960
O 0.500 0.500 0.293
O 0.500 0.500 0.707


# 3
For NbCrO4, a structure optimized by DFT (PBE+U) gives the theoretical X-ray powder pattern in this record (copper Kα).

Most intense lines, 15° ≤ 2θ ≤ 90°, sorted by position:
2θ/deg  I_rel
24.73  76
28.31  100
31.95  94
37.93  19
43.04  46
46.13  32
55.01  28
56.66  31
60.69  27
64.91  23

Atomic structure:
Unit cell a=6.607 b=6.607 c=7.872 alpha=107.38 beta=107.38 gamma=84.84
Element x y z (fractional)
Nb 0.222 0.222 0.358
Nb 0.222 0.778 0.000
Nb 0.778 0.222 0.000
Nb 0.778 0.778 0.642
Cr 0.182 0.182 0.843
Cr 0.183 0.817 0.500
Cr 0.817 0.183 0.500
Cr 0.818 0.818 0.157
O 0.146 0.847 0.245
O 0.147 0.147 0.569
O 0.152 0.152 0.081
O 0.153 0.854 0.755
O 0.183 0.493 0.917
O 0.183 0.508 0.425
O 0.492 0.817 0.575
O 0.493 0.183 0.917
O 0.507 0.817 0.083
O 0.508 0.183 0.425
O 0.817 0.492 0.575
O 0.817 0.507 0.083
O 0.847 0.146 0.245
O 0.848 0.848 0.919
O 0.853 0.853 0.431
O 0.854 0.153 0.755


# 4
For NbCr3P6O24, a structure optimized by DFT (PBE+U) gives the theoretical X-ray powder pattern in this record (copper Kα).

Most intense lines, 15° ≤ 2θ ≤ 90°, sorted by position:
2θ/deg  I_rel
20.08  73
20.58  39
23.94  100
28.91  55
31.94  16
32.09  36
36.05  17
46.13  15
52.84  15
56.42  15

Atomic structure:
Unit cell a=8.849 b=8.849 c=8.849 alpha=58.38 beta=58.38 gamma=58.38
Element x y z (fractional)
Nb 0.000 0.000 0.000
Cr 0.283 0.283 0.283
Cr 0.497 0.497 0.497
Cr 0.782 0.782 0.782
P 0.107 0.666 0.399
P 0.175 0.600 0.889
P 0.399 0.107 0.666
P 0.600 0.889 0.175
P 0.666 0.399 0.107
P 0.889 0.175 0.600
O 0.004 0.630 0.861
O 0.061 0.204 0.419
O 0.079 0.848 0.223
O 0.133 0.501 0.363
O 0.146 0.773 0.918
O 0.204 0.419 0.061
O 0.223 0.079 0.848
O 0.278 0.644 0.422
O 0.357 0.573 0.717
O 0.363 0.133 0.501
O 0.419 0.061 0.204
O 0.422 0.278 0.644
O 0.501 0.363 0.133
O 0.568 0.926 0.696
O 0.573 0.717 0.357
O 0.630 0.861 0.004
O 0.644 0.422 0.278
O 0.696 0.568 0.926
O 0.717 0.357 0.573
O 0.773 0.918 0.146
O 0.848 0.223 0.079
O 0.861 0.004 0.630
O 0.918 0.146 0.773
O 0.926 0.696 0.568